Diffraction record for Sm3WCl3O6. The powder diffraction line list is theoretical, not measured: it uses a GGA+U-relaxed structure and a wavelength of 1.5418 Å.
Intensities are scaled so that the largest is 100.

Top 10 peaks for 2θ from 10° to 90°, sorted by position:
| h k l | 2theta | d_spacing | I (rel.) |
| --- | --- | --- | --- |
| 1 0 0 | 11.0 | 8.041 | 54.9 |
| 1 1 1 | 25.4 | 3.510 | 58.0 |
| 2 0 1 | 27.7 | 3.217 | 57.4 |
| 1 2 0 | 29.4 | 3.039 | 35.8 |
| 0 0 2 | 33.4 | 2.681 | 48.7 |
| 1 2 1 | 33.9 | 2.644 | 100.0 |
| 1 2 2 | 45.1 | 2.010 | 46.9 |
| 3 0 2 | 48.0 | 1.895 | 20.5 |
| 3 2 1 | 52.5 | 1.744 | 34.3 |
| 1 2 3 | 60.1 | 1.541 | 20.6 |

Cell and atoms:
```
data_Sm3WCl3O6
_symmetry_space_group_name_H-M 'P 1'
_symmetry_Int_Tables_number 1
_symmetry_space_group_name_Hall 'P 1'
_cell_length_a 9.285
_cell_length_b 9.285
_cell_length_c 5.362
_cell_angle_alpha 90.00
_cell_angle_beta 90.00
_cell_angle_gamma 120.00
loop_
_atom_site_label
_atom_site_type_symbol
_atom_site_fract_x
_atom_site_fract_y
_atom_site_fract_z
Sm1 Sm 0.090 0.685 0.250
Sm2 Sm 0.315 0.405 0.250
Sm3 Sm 0.405 0.090 0.750
Sm4 Sm 0.595 0.910 0.250
Sm5 Sm 0.685 0.595 0.750
Sm6 Sm 0.910 0.315 0.750
W1 W 0.333 0.667 0.750
W2 W 0.667 0.333 0.250
Cl1 Cl 0.049 0.808 0.750
Cl2 Cl 0.192 0.241 0.750
Cl3 Cl 0.241 0.049 0.250
Cl4 Cl 0.759 0.951 0.750
Cl5 Cl 0.808 0.759 0.250
Cl6 Cl 0.951 0.192 0.250
O1 O 0.158 0.523 0.515
O2 O 0.158 0.523 0.985
O3 O 0.365 0.842 0.515
O4 O 0.365 0.842 0.985
O5 O 0.477 0.635 0.515
O6 O 0.477 0.635 0.985
O7 O 0.523 0.365 0.015
O8 O 0.523 0.365 0.485
O9 O 0.635 0.158 0.015
O10 O 0.635 0.158 0.485
O11 O 0.842 0.477 0.015
O12 O 0.842 0.477 0.485
```